This entry pairs a crystal structure of Ba2AcZn9 with its computed powder X-ray diffraction pattern. Radiation: Cu Ka. Structure: a cell relaxed with GGA-PBE.
Peak positions follow from Bragg's law for the DFT cell and can differ from measured ones.

a = 9.847 Å, b = 9.847 Å, c = 9.847 Å
α = 34.38°, β = 34.38°, γ = 34.38°
Fractional positions:
Ba: 0.143 0.143 0.143
Ba: 0.857 0.857 0.857
Ac: 0.000 0.000 0.000
Zn: 0.076 0.576 0.576
Zn: 0.335 0.335 0.335
Zn: 0.424 0.424 0.924
Zn: 0.424 0.924 0.424
Zn: 0.500 0.500 0.500
Zn: 0.576 0.076 0.576
Zn: 0.576 0.576 0.076
Zn: 0.665 0.665 0.665
Zn: 0.924 0.424 0.424

Peak list (6 most intense, 15° ≤ 2θ ≤ 90°, sorted by position)
Position (°2θ), I/Imax
28.64, 38
30.72, 44
31.29, 34
35.78, 37
36.47, 100
58.44, 25